Starting from a structure optimized by DFT (GGA-PBE), the powder diffractogram of Dy2Y2HoEr was simulated for Cu Kα.
Neutral-atom scattering factors, no anomalous dispersion.

```
data_Dy2Y2HoEr
_cell_length_a 6.5119
_cell_length_b 17.6764
_cell_length_c 3.3729
_cell_angle_alpha 90.00
_cell_angle_beta 90.00
_cell_angle_gamma 90.00
_symmetry_space_group_name_H-M 'P n n m'
_symmetry_Int_Tables_number 58
_symmetry_space_group_name_Hall '-P 2 2n'
loop_
_atom_site_label
_atom_site_fract_x
_atom_site_fract_y
_atom_site_fract_z
Dy1 0.2281 0.1461 0.0000
Y1 0.2300 0.3156 0.5000
Ho1 0.0000 0.0000 0.5000
Er1 0.0000 0.5000 0.5000
```

Most intense lines, 2θ from 10° to 90°, sorted by position:
(hkl)	2θ/deg	d (Å)	I/Imax
1 2 0	16.91	5.243	39
0 1 1	26.91	3.313	32
2 2 0	29.23	3.055	100
1 0 1	29.83	2.995	32
0 6 0	30.34	2.946	84
0 3 1	30.54	2.927	69
1 2 1	31.54	2.837	62
2 4 0	34.21	2.621	87
1 4 1	36.23	2.479	54
2 3 1	41.48	2.177	57



Starting from a structure optimized by DFT (GGA-PBE), the powder diffractogram of NpGa4Cu2Pd was simulated for Cu Kα.
Neutral-atom scattering factors, no anomalous dispersion.

```
data_NpGa4Cu2Pd
_cell_length_a 4.2114
_cell_length_b 4.2114
_cell_length_c 26.3580
_cell_angle_alpha 90.00
_cell_angle_beta 90.00
_cell_angle_gamma 120.00
_symmetry_space_group_name_H-M 'R -3 m'
_symmetry_Int_Tables_number 166
_symmetry_space_group_name_Hall '-R 3 2"'
loop_
_atom_site_label
_atom_site_fract_x
_atom_site_fract_y
_atom_site_fract_z
Np1 0.0000 0.0000 0.0000
Ga1 0.0000 0.0000 0.1260
Ga2 0.0000 0.0000 0.3988
Cu1 0.0000 0.0000 0.2423
Pd1 0.0000 0.0000 0.5000
```

Most intense lines, 2θ from 10° to 90°, sorted by position:
(hkl)	2θ/deg	d (Å)	I/Imax
0 1 2	25.34	3.515	34
1 0 4	27.96	3.191	20
0 1 5	29.79	2.999	16
0 1 8	36.76	2.445	100
1 0 10	42.31	2.136	19
1 1 0	42.95	2.106	86
2 0 8	57.79	1.595	26
1 0 16	61.82	1.501	17
1 2 8	74.63	1.272	24
3 0 0	78.71	1.216	14



Starting from a structure optimized by DFT (GGA-PBE), the powder diffractogram of AlSbO was simulated for Cu Kα.
Neutral-atom scattering factors, no anomalous dispersion.

```
data_AlSbO
_cell_length_a 3.1671
_cell_length_b 10.9563
_cell_length_c 3.3533
_cell_angle_alpha 90.00
_cell_angle_beta 90.00
_cell_angle_gamma 90.00
_symmetry_space_group_name_H-M 'P m n 21'
_symmetry_Int_Tables_number 31
_symmetry_space_group_name_Hall 'P 2ac -2'
loop_
_atom_site_label
_atom_site_fract_x
_atom_site_fract_y
_atom_site_fract_z
Al1 0.0000 0.0949 0.0000
Sb1 0.0000 0.3283 0.7648
O1 0.0000 0.9451 0.7304
```

Most intense lines, 2θ from 10° to 90°, sorted by position:
(hkl)	2θ/deg	d (Å)	I/Imax
0 3 0	24.37	3.652	91
0 1 1	27.82	3.206	91
1 1 0	29.36	3.043	100
0 2 1	31.28	2.860	80
1 2 0	32.67	2.741	53
1 0 1	39.12	2.302	68
0 4 1	42.61	2.122	43
1 4 0	43.69	2.072	33
1 3 1	46.63	1.948	67
1 2 2	65.22	1.431	45



Copy entry 1 word for word.
Starting from a structure optimized by DFT (GGA-PBE), the powder diffractogram of Dy2Y2HoEr was simulated for Cu Kα.
Neutral-atom scattering factors, no anomalous dispersion.

```
data_Dy2Y2HoEr
_cell_length_a 6.5119
_cell_length_b 17.6764
_cell_length_c 3.3729
_cell_angle_alpha 90.00
_cell_angle_beta 90.00
_cell_angle_gamma 90.00
_symmetry_space_group_name_H-M 'P n n m'
_symmetry_Int_Tables_number 58
_symmetry_space_group_name_Hall '-P 2 2n'
loop_
_atom_site_label
_atom_site_fract_x
_atom_site_fract_y
_atom_site_fract_z
Dy1 0.2281 0.1461 0.0000
Y1 0.2300 0.3156 0.5000
Ho1 0.0000 0.0000 0.5000
Er1 0.0000 0.5000 0.5000
```

Most intense lines, 2θ from 10° to 90°, sorted by position:
(hkl)	2θ/deg	d (Å)	I/Imax
1 2 0	16.91	5.243	39
0 1 1	26.91	3.313	32
2 2 0	29.23	3.055	100
1 0 1	29.83	2.995	32
0 6 0	30.34	2.946	84
0 3 1	30.54	2.927	69
1 2 1	31.54	2.837	62
2 4 0	34.21	2.621	87
1 4 1	36.23	2.479	54
2 3 1	41.48	2.177	57